# CsAs4F13
Theoretical PXRD pattern, Cu Kα (λ = 1.5418 Å). Input: a cell relaxed with GGA-PBE.
Kinematic intensities with the Lorentz-polarization factor, no thermal factor.

Structure:
Lattice parameters (Å, degrees): 9.768 9.768 6.814 90.00 90.00 90.00
Space group I-4 (No. 82)
One atom of each set of equivalent atoms:
Cs 0.000 0.000 0.000 (multiplicity 2)
As 0.019 0.693 0.481 (multiplicity 8)
F 0.000 0.500 0.250 (multiplicity 2)
F 0.080 0.832 0.635 (multiplicity 8)
F 0.082 0.352 0.924 (multiplicity 8)
F 0.118 0.757 0.282 (multiplicity 8)

The 10 most intense peaks (2θ = 15–90°), by angle:
2θ/deg	intensity
18.16	13
24.20	100
26.15	15
28.91	17
39.37	23
40.30	11
44.98	14
47.67	13
52.18	17
65.90	10